HoPu3Au4: computed powder XRD pattern (Cu Kα), based on a GGA-PBE-relaxed structure.
Lines closer than 0.1° are merged.

Structural model:
Unit cell a=3.616 b=3.616 c=14.594 alpha=90.00 beta=90.00 gamma=90.00
Fractional coordinates of all 8 atoms:
Ho 0.000 0.000 0.000
Pu 0.000 0.000 0.247
Pu 0.000 0.000 0.500
Pu 0.000 0.000 0.753
Au 0.500 0.500 0.114
Au 0.500 0.500 0.373
Au 0.500 0.500 0.627
Au 0.500 0.500 0.886

Top 10 peaks for 10 to 90 degrees two-theta, in order of rising 2θ:
(1 0 4), 2θ 34.94, I = 100
(1 1 0), 2θ 35.10, I = 50
(0 0 8), 2θ 50.00, I = 9
(2 0 0), 2θ 50.48, I = 18
(1 1 8), 2θ 62.55, I = 18
(2 1 4), 2θ 62.86, I = 38
(2 0 8), 2θ 73.79, I = 11
(1 0 12), 2θ 83.95, I = 7
(3 0 4), 2θ 84.69, I = 9
(3 1 0), 2θ 84.79, I = 9